(1)
This entry pairs a crystal structure of CaPu2Ge3Pt4 with its computed X-ray powder pattern. Radiation: Cu Kα. Structure: a crystal structure in Alexandria, relaxed with GGA-PBE.
Lines closer than 0.1° are merged.

The 10 most intense peaks (2θ = 10–80°), low angle first:
- hkl 1 1 0, 2θ 30.03, I = 136
- hkl 1 0 3, 2θ 31.65, I = 333
- hkl 1 1 2, 2θ 33.95, I = 1000
- hkl 1 0 4, 2θ 38.03, I = 143
- hkl 2 0 0, 2θ 42.98, I = 468
- hkl 1 0 5, 2θ 45.09, I = 276
- hkl 2 1 3, 2θ 54.35, I = 149
- hkl 2 2 0, 2θ 62.41, I = 157
- hkl 2 1 5, 2θ 64.05, I = 197
- hkl 3 1 2, 2θ 72.98, I = 224

Crystal structure
```
data_CaPu2Ge3Pt4
_symmetry_space_group_name_H-M 'P -4 m 2'
_symmetry_Int_Tables_number 115
_cell_length_a 4.209
_cell_length_b 4.209
_cell_length_c 11.445
_cell_angle_alpha 90.00
_cell_angle_beta 90.00
_cell_angle_gamma 90.00
loop_
_symmetry_equiv_pos_as_xyz
'x,y,z'
'y,-x,-z'
'-x,-y,z'
'-y,x,-z'
'-x,y,z'
'-y,-x,-z'
'x,-y,z'
'y,x,-z'
loop_
_atom_site_label
_atom_site_type_symbol
_atom_site_fract_x
_atom_site_fract_y
_atom_site_fract_z
_atom_site_occupancy
Ca1 Ca 0.000 0.000 0.000 1
Pu1 Pu 0.000 0.500 0.733 1
Ge1 Ge 0.000 0.500 0.375 1
Ge2 Ge 0.500 0.500 0.000 1
Pt1 Pt 0.000 0.000 0.500 1
Pt2 Pt 0.000 0.500 0.161 1
Pt3 Pt 0.500 0.500 0.500 1
```

***

(2)
This entry pairs a crystal structure of CaTmGe2Pt5 with its computed X-ray powder pattern. Radiation: Cu Kα. Structure: a crystal structure in Alexandria, relaxed with GGA-PBE.
Lines closer than 0.1° are merged.

The 10 most intense peaks (2θ = 10–80°), low angle first:
- hkl 0 0 2, 2θ 19.61, I = 111
- hkl 1 0 1, 2θ 23.23, I = 109
- hkl 1 1 2, 2θ 36.01, I = 1000
- hkl 1 0 3, 2θ 36.58, I = 145
- hkl 0 0 4, 2θ 39.82, I = 128
- hkl 2 0 0, 2θ 42.79, I = 424
- hkl 2 0 4, 2θ 59.88, I = 158
- hkl 2 2 0, 2θ 62.12, I = 141
- hkl 1 1 6, 2θ 69.82, I = 117
- hkl 3 1 2, 2θ 73.95, I = 251

Crystal structure
```
data_CaTmGe2Pt5
_symmetry_space_group_name_H-M 'P 4/m m m'
_symmetry_Int_Tables_number 123
_symmetry_space_group_name_Hall '-P 4 2'
_cell_length_a 4.226
_cell_length_b 4.226
_cell_length_c 9.055
_cell_angle_alpha 90.00
_cell_angle_beta 90.00
_cell_angle_gamma 90.00
loop_
_atom_site_label
_atom_site_type_symbol
_atom_site_fract_x
_atom_site_fract_y
_atom_site_fract_z
_atom_site_occupancy
Ca1 Ca 0.000 0.000 0.000 1
Tm1 Tm 0.000 0.000 0.500 1
Ge1 Ge 0.500 0.500 0.367 1
Pt1 Pt 0.000 0.500 0.230 1
Pt2 Pt 0.500 0.500 0.000 1
```